Theoretical X-ray diffraction stick pattern of TbGa3Ni for Cu Kα (weighted mean of Kα1 and Kα2), from DFT lattice parameters and positions (PBE).
Lines closer than 0.1° are merged.

Structural model:
Cell: 4.176 4.176 10.167 Å, 90.00 90.00 90.00°
Space group I4mm (No. 107)
Asymmetric unit:
Tb (0.000, 0.000, 0.000)
Ga (0.000, 0.000, 0.586)
Ga (0.000, 0.500, 0.252)
Ni (0.000, 0.000, 0.361)

Largest 12 diffraction maxima, most intense first, 5 to 70 degrees two-theta:
| d [Å] | I/Imax |
| --- | --- |
| 2.553 | 100 |
| 2.088 | 51 |
| 2.632 | 50 |
| 1.828 | 24 |
| 1.636 | 23 |
| 1.375 | 18 |
| 1.477 | 16 |
| 2.953 | 15 |
| 1.470 | 12 |
| 1.613 | 11 |
| 2.542 | 11 |
| 3.863 | 8 |

Theoretical X-ray diffraction stick pattern of PrSmIn2 for Cu Kα (weighted mean of Kα1 and Kα2), from DFT lattice parameters and positions (PBE).
Lines closer than 0.1° are merged.

Structural model:
Cell: 7.880 7.880 7.880 Å, 90.00 90.00 90.00°
Space group Fm-3m (No. 225)
Asymmetric unit:
Pr (0.000, 0.000, 0.000)
Sm (0.000, 0.000, 0.500)
In (0.250, 0.250, 0.250)

Largest 6 diffraction maxima, most intense first, 5 to 70 degrees two-theta:
| d [Å] | I/Imax |
| --- | --- |
| 2.786 | 100 |
| 1.608 | 38 |
| 1.970 | 18 |
| 1.393 | 12 |
| 3.940 | 1 |
| 1.762 | 1 |

Theoretical X-ray diffraction stick pattern of PrCdNi4 for Cu Kα (weighted mean of Kα1 and Kα2), from DFT lattice parameters and positions (PBE).
Lines closer than 0.1° are merged.

Structural model:
Cell: 7.166 7.166 7.166 Å, 90.00 90.00 90.00°
Space group F-43m (No. 216)
Asymmetric unit:
Pr (0.000, 0.000, 0.000)
Cd (0.250, 0.250, 0.750)
Ni (0.124, 0.124, 0.376)

Largest 8 diffraction maxima, most intense first, 5 to 70 degrees two-theta:
| d [Å] | I/Imax |
| --- | --- |
| 2.161 | 100 |
| 2.534 | 54 |
| 1.379 | 30 |
| 2.069 | 20 |
| 1.463 | 19 |
| 4.137 | 5 |
| 1.644 | 2 |
| 3.583 | 1 |

Theoretical X-ray diffraction stick pattern of LiCu3Si2O6 for Cu Kα (weighted mean of Kα1 and Kα2), from DFT lattice parameters and positions (PBE).
Lines closer than 0.1° are merged.

Structural model:
Cell: 4.843 8.379 5.905 Å, 90.00 105.84 90.00°
Space group C2/m (No. 12)
Asymmetric unit:
Li (0.000, 0.000, 0.000)
Cu (0.000, 0.169, 0.500)
Cu (0.000, 0.500, 0.500)
Si (0.000, 0.333, 0.000)
O (0.072, 0.500, 0.830)
O (0.129, 0.185, 0.831)

Largest 12 diffraction maxima, most intense first, 5 to 70 degrees two-theta:
| d [Å] | I/Imax |
| --- | --- |
| 2.328 | 100 |
| 2.396 | 63 |
| 1.599 | 38 |
| 2.840 | 34 |
| 2.104 | 31 |
| 5.681 | 28 |
| 1.397 | 25 |
| 1.393 | 24 |
| 1.894 | 12 |
| 1.716 | 11 |
| 4.072 | 6 |
| 1.357 | 5 |

Theoretical X-ray diffraction stick pattern of K2HgSbF6 for Cu Kα (weighted mean of Kα1 and Kα2), from DFT lattice parameters and positions (PBE).
Lines closer than 0.1° are merged.

Structural model:
Cell: 9.629 9.629 9.629 Å, 90.00 90.00 90.00°
Space group Fm-3m (No. 225)
Asymmetric unit:
K (0.250, 0.250, 0.250)
Hg (0.000, 0.000, 0.000)
Sb (0.000, 0.000, 0.500)
F (0.000, 0.000, 0.281)

Largest 12 diffraction maxima, most intense first, 5 to 70 degrees two-theta:
| d [Å] | I/Imax |
| --- | --- |
| 3.404 | 100 |
| 4.815 | 66 |
| 1.966 | 41 |
| 2.407 | 37 |
| 2.153 | 31 |
| 1.702 | 23 |
| 1.523 | 21 |
| 1.605 | 15 |
| 1.390 | 7 |
| 2.903 | 7 |
| 2.209 | 6 |
| 2.780 | 5 |